Ba4Ta10FeO30: computed powder XRD pattern (Cu Kα, 1.54184 Å), based on a cell relaxed with GGA+U.

Cell: 7.8906 10.3373 15.3139 Å, 90.00 90.00 90.00°
Space group Imm2 (No. 44)
Unique sites:
Ba (0.0000, 0.0000, 0.0000)
Ba (0.0000, 0.0000, 0.4041)
Ba (0.0000, 0.5000, 0.5081)
Ba (0.0000, 0.5000, 0.9178)
Ta (0.2481, 0.1859, 0.5805)
Ta (0.2494, 0.0000, 0.2093)
Ta (0.2499, 0.1839, 0.8331)
Fe (0.0000, 0.5000, 0.1869)
O (0.0000, 0.0000, 0.2252)
O (0.0000, 0.1683, 0.8383)
O (0.0000, 0.2006, 0.5866)
O (0.0000, 0.3064, 0.3546)
O (0.0000, 0.3570, 0.0795)
O (0.0000, 0.5000, 0.6940)
O (0.2160, 0.3643, 0.2119)
O (0.2189, 0.0000, 0.5424)
O (0.2257, 0.1311, 0.1163)
O (0.2343, 0.2526, 0.9625)
O (0.2340, 0.3699, 0.8053)
O (0.2391, 0.5000, 0.3806)

Main lines, sorted by position (15 to 90 degrees two-theta):
two_theta, I_rel, h k l
22.54, 66, 2 0 0
26.51, 100, 0 3 1
28.46, 56, 2 2 0
29.02, 97, 0 2 4
29.90, 94, 2 1 3
35.08, 53, 2 3 1
53.16, 91, 0 6 0
54.89, 42, 2 3 7